Record 1
The following is a simulated powder diffractogram of Ca2NbInO6. It was derived from a DFT-relaxed cell (PBE, the Materials Project), using CuKα.

Most intense lines, 2θ from 10° to 90°, by angle:
| two_theta | d_spacing | I (rel.) |
| --- | --- | --- |
| 21.7 | 4.100 | 46 |
| 30.8 | 2.899 | 100 |
| 44.2 | 2.050 | 39 |
| 49.7 | 1.833 | 19 |
| 54.9 | 1.674 | 38 |
| 64.3 | 1.449 | 23 |
| 68.7 | 1.367 | 9 |
| 73.0 | 1.296 | 16 |
| 81.3 | 1.183 | 7 |
| 89.4 | 1.096 | 19 |

Crystal structure
a = 5.798 Å, b = 5.798 Å, c = 5.798 Å
α = 60.00°, β = 60.00°, γ = 60.00°
Element x y z (fractional)
Ca: 0.250 0.250 0.250
Ca: 0.750 0.750 0.750
Nb: 0.000 0.000 0.000
In: 0.500 0.500 0.500
O: 0.242 0.242 0.758
O: 0.242 0.758 0.242
O: 0.242 0.758 0.758
O: 0.758 0.242 0.242
O: 0.758 0.242 0.758
O: 0.758 0.758 0.242

Record 2
The following is a simulated powder diffractogram of Ca2NbInO6. It was derived from a DFT-relaxed cell (PBE, the Materials Project), using CuKα.

Most intense lines, 2θ from 10° to 90°, by angle:
| two_theta | d_spacing | I (rel.) |
| --- | --- | --- |
| 22.1 | 4.017 | 60 |
| 30.9 | 2.897 | 25 |
| 31.5 | 2.840 | 100 |
| 32.1 | 2.789 | 22 |
| 45.1 | 2.008 | 41 |
| 50.8 | 1.796 | 20 |
| 55.3 | 1.661 | 18 |
| 55.7 | 1.650 | 12 |
| 56.8 | 1.620 | 25 |
| 74.7 | 1.270 | 10 |

Crystal structure
a = 5.577 Å, b = 5.794 Å, c = 9.765 Å
α = 90.00°, β = 124.72°, γ = 90.00°
Element x y z (fractional)
Ca: 0.233 0.055 0.248
Ca: 0.233 0.445 0.748
Ca: 0.767 0.555 0.252
Ca: 0.767 0.945 0.752
Nb: 0.500 0.000 0.000
Nb: 0.500 0.500 0.500
In: 0.000 0.000 0.500
In: 0.000 0.500 0.000
O: 0.154 0.189 0.947
O: 0.154 0.311 0.447
O: 0.255 0.711 0.939
O: 0.255 0.789 0.439
O: 0.369 0.042 0.761
O: 0.369 0.458 0.261
O: 0.631 0.542 0.739
O: 0.631 0.958 0.239
O: 0.745 0.211 0.561
O: 0.745 0.289 0.061
O: 0.846 0.689 0.553
O: 0.846 0.811 0.053

Record 3
The following is a simulated powder diffractogram of SrCaNbInO6. It was derived from a DFT-relaxed cell (PBE, the Materials Project), using CuKα.

Most intense lines, 2θ from 10° to 90°, by angle:
| two_theta | d_spacing | I (rel.) |
| --- | --- | --- |
| 18.6 | 4.759 | 5 |
| 21.6 | 4.121 | 18 |
| 30.7 | 2.914 | 100 |
| 43.9 | 2.061 | 36 |
| 49.5 | 1.843 | 7 |
| 54.5 | 1.682 | 39 |
| 63.9 | 1.457 | 21 |
| 72.5 | 1.303 | 17 |
| 80.8 | 1.190 | 7 |
| 88.8 | 1.101 | 20 |

Crystal structure
a = 5.828 Å, b = 5.828 Å, c = 5.828 Å
α = 60.00°, β = 60.00°, γ = 60.00°
Element x y z (fractional)
Sr: 0.000 0.000 0.000
Ca: 0.500 0.500 0.500
Nb: 0.750 0.750 0.750
In: 0.250 0.250 0.250
O: 0.508 0.508 0.992
O: 0.508 0.992 0.508
O: 0.508 0.992 0.992
O: 0.992 0.508 0.508
O: 0.992 0.508 0.992
O: 0.992 0.992 0.508